Entry 1:
For BaH4C2O6, a PBE-relaxed structure gives the calculated X-ray powder pattern in this record (Cu Kα (λ = 1.5418 Å)).
Lines closer than 0.1° are merged.

Structure:
abc: 7.5957 11.1784 7.1352
angles: 90.00 104.51 90.00
Space group P2_1/c (No. 14)
Unique sites:
Ba  0.2020  0.0097  0.2951
H  0.2514  0.2168  0.9130
H  0.3628  0.5235  0.2806
H  0.4017  0.1104  0.7433
H  0.4616  0.2446  0.4695
C  0.0411  0.7468  0.4902
C  0.2141  0.7013  0.4297
O  0.0165  0.6418  0.9989
O  0.0619  0.1652  0.9706
O  0.2388  0.5890  0.4348
O  0.3162  0.7209  0.8823
O  0.3517  0.2501  0.3598
O  0.4158  0.0283  0.6947

Peak list (8 most intense, 2θ = 15–90°, in order of rising 2θ)
2theta  d (Å)  Rel. int.  hkl
15.9  5.589  422  0 2 0
17.2  5.158  1000  1 1 -1
21.3  4.177  765  1 1 1
25.7  3.464  422  2 1 -1
30.4  2.938  583  0 2 2
31.2  2.867  634  1 0 2
41.5  2.176  411  2 1 -3
43.3  2.088  366  2 2 2


Entry 2:
For LaPm6DyTm2, a PBE-relaxed structure gives the calculated X-ray powder pattern in this record (Cu Kα (λ = 1.5418 Å)).
Lines closer than 0.1° are merged.

Structure:
abc: 9.2762 15.2030 9.7222
angles: 90.00 97.92 90.00
Space group C2/c (No. 15)
Unique sites:
La  0.0000  0.0945  0.2500
Pm  0.0653  0.3250  0.4448
Pm  0.0971  0.1074  0.6206
Pm  0.2075  0.2731  0.8190
Dy  0.0000  0.4689  0.7500
Tm  0.2435  0.4517  0.0470

Peak list (8 most intense, 2θ = 15–90°, in order of rising 2θ)
2theta  d (Å)  Rel. int.  hkl
28.2  3.160  437  1 3 2
30.0  2.983  578  3 1 -1
30.2  2.957  478  0 2 3
31.0  2.884  1000  2 2 2
31.1  2.873  383  2 4 -1
32.0  2.799  330  1 5 -1
33.3  2.687  366  1 3 -3
52.6  1.741  221  1 7 3


Entry 3:
For K3Ce3ZnS8, a PBE-relaxed structure gives the calculated X-ray powder pattern in this record (Cu Kα (λ = 1.5418 Å)).
Lines closer than 0.1° are merged.

Structure:
abc: 8.0566 8.0601 8.6760
angles: 63.50 63.48 62.30
Space group P-1 (No. 2)
Unique sites:
K  0.0000  0.0000  0.0000
K  0.0000  0.5000  0.0000
K  0.5000  0.0000  0.0000
Ce  0.0000  0.5000  0.5000
Ce  0.5000  0.0000  0.5000
Ce  0.5000  0.5000  0.5000
Zn  0.0000  0.0000  0.5000
S  0.2010  0.2011  0.3262
S  0.2451  0.7140  0.2971
S  0.2631  0.2630  0.7059
S  0.2845  0.7560  0.7020

Peak list (8 most intense, 2θ = 15–90°, in order of rising 2θ)
2theta  d (Å)  Rel. int.  hkl
24.0  3.701  184  0 0 2
25.3  3.519  261  0 2 1
26.2  3.404  314  0 2 0
29.8  2.994  1000  2 0 2
30.4  2.942  426  2 2 0
38.1  2.365  205  2 0 3
45.0  2.013  296  4 2 2
51.9  1.761  178  0 2 -3


Entry 4:
For KSe2S6, a PBE-relaxed structure gives the calculated X-ray powder pattern in this record (Cu Kα (λ = 1.5418 Å)).
Lines closer than 0.1° are merged.

Structure:
abc: 5.0576 7.3242 7.4334
angles: 97.90 97.72 96.84
Space group P1 (No. 1)
Unique sites:
K  0.0000  0.0000  0.0000
Se  0.7769  0.9256  0.5263
Se  0.7875  0.5172  0.9377
S  0.1411  0.1414  0.5869
S  0.1563  0.5820  0.1491
S  0.3583  0.7353  0.7450
S  0.4018  0.1326  0.4048
S  0.4193  0.3961  0.1433
S  0.9799  0.6362  0.6475

Peak list (8 most intense, 2θ = 15–90°, in order of rising 2θ)
2theta  d (Å)  Rel. int.  hkl
15.9  5.564  230  0 1 -1
18.7  4.754  1000  0 1 1
24.5  3.638  236  0 0 2
24.8  3.592  227  0 2 0
28.1  3.175  443  1 0 -2
28.4  3.143  284  1 1 1
28.6  3.125  473  1 -2 0
32.6  2.747  472  1 2 -1


Entry 5:
For CoPbI4, a PBE-relaxed structure gives the calculated X-ray powder pattern in this record (Cu Kα (λ = 1.5418 Å)).
Lines closer than 0.1° are merged.

Structure:
abc: 9.4756 9.6804 11.8564
angles: 90.00 90.00 90.00
Space group C222_1 (No. 20)
Unique sites:
Co  0.0000  0.1633  0.2500
Pb  0.2193  0.5000  0.5000
I  0.0188  0.2779  0.0507
I  0.2278  0.0236  0.2646

Peak list (8 most intense, 2θ = 15–90°, in order of rising 2θ)
2theta  d (Å)  Rel. int.  hkl
15.1  5.880  764  1 1 1
19.9  4.465  217  1 1 2
26.1  3.413  396  1 1 3
26.3  3.386  1000  2 2 0
30.2  2.962  375  0 0 4
37.2  2.418  336  0 4 0
38.0  2.369  187  4 0 0
40.4  2.230  347  2 2 4


Entry 6:
For CrBiS2, a PBE-relaxed structure gives the calculated X-ray powder pattern in this record (Cu Kα (λ = 1.5418 Å)).
Lines closer than 0.1° are merged.

Structure:
abc: 3.5273 3.5273 24.5720
angles: 90.00 90.00 120.00
Space group R-3m (No. 166, hexagonal axes)
Unique sites:
Cr  0.0000  0.0000  0.0000
Bi  0.0000  0.0000  0.5000
S  0.0000  0.0000  0.3851

Peak list (8 most intense, 2θ = 15–90°, in order of rising 2θ)
2theta  d (Å)  Rel. int.  hkl
21.7  4.095  565  0 0 6
29.5  3.031  597  1 0 1
30.1  2.964  1000  0 1 2
32.8  2.734  602  0 0 9
41.7  2.166  575  0 1 8
47.5  1.915  350  1 0 10
51.8  1.764  316  1 1 0
56.8  1.620  262  1 1 6


Entry 7:
For Li4MgCl6, a PBE-relaxed structure gives the calculated X-ray powder pattern in this record (Cu Kα (λ = 1.5418 Å)).
Lines closer than 0.1° are merged.

Structure:
abc: 11.9111 7.1867 12.6189
angles: 90.00 104.66 90.00
Space group Cc (No. 9)
Unique sites:
Li  0.0000  0.0519  0.0000
Li  0.1932  0.2535  0.3579
Li  0.3588  0.1051  0.9607
Li  0.3621  0.3640  0.6931
Mg  0.1180  0.2256  0.7724
Cl  0.1546  0.2339  0.9640
Cl  0.1907  0.4927  0.2251
Cl  0.2577  0.0017  0.7600
Cl  0.3552  0.2218  0.5171
Cl  0.4477  0.3434  0.1375
Cl  0.4946  0.3018  0.8708

Peak list (8 most intense, 2θ = 15–90°, in order of rising 2θ)
2theta  d (Å)  Rel. int.  hkl
23.8  3.744  383  2 0 2
24.6  3.616  453  1 1 -3
25.7  3.470  781  3 1 -1
27.9  3.193  386  1 1 3
28.9  3.094  1000  0 2 2
29.3  3.051  480  0 0 4
29.4  3.033  544  2 0 -4
31.0  2.886  841  2 2 -2


Entry 8:
For Cr2FeAg, a PBE-relaxed structure gives the calculated X-ray powder pattern in this record (Cu Kα (λ = 1.5418 Å)).
Lines closer than 0.1° are merged.

Structure:
abc: 2.9429 4.2620 8.4513
angles: 90.00 90.00 90.00
Space group Cmm2 (No. 35)
Unique sites:
Cr  0.0000  0.0000  0.0000
Cr  0.0000  0.5000  0.2149
Fe  0.0000  0.0000  0.4435
Ag  0.0000  0.5000  0.7183

Peak list (8 most intense, 2θ = 15–90°, in order of rising 2θ)
2theta  d (Å)  Rel. int.  hkl
31.8  2.817  110  0 0 3
38.7  2.328  117  1 1 1
42.4  2.131  275  0 2 0
42.8  2.113  218  0 0 4
43.1  2.101  1000  1 1 2
61.8  1.500  133  0 2 4
78.0  1.224  151  1 3 2
78.6  1.218  99  1 1 6